Starting from a DFT-relaxed cell (GGA-PBE, Alexandria), the powder diffractogram of Sr3Mg2Hg9 was calculated for Cu Kα X-rays.
No peak broadening, texture or thermal motion is included.

Cell and atoms:
Lattice parameters (Å, degrees): 9.4467 9.4467 9.4467 151.15 108.14 79.21
Element x y z (fractional)
Sr  0.0000  0.0000  0.0000
Sr  0.2920  0.2920  0.0000
Sr  0.7080  0.7080  0.0000
Mg  0.3163  0.5000  0.8163
Mg  0.6837  0.5000  0.1837
Hg  0.0170  0.6511  0.3659
Hg  0.1514  0.8620  0.2894
Hg  0.2851  0.6511  0.6341
Hg  0.4274  0.1380  0.2894
Hg  0.5000  0.0000  0.5000
Hg  0.5726  0.8620  0.7106
Hg  0.7149  0.3489  0.3659
Hg  0.8486  0.1380  0.7106
Hg  0.9830  0.3489  0.6341

Peak list (10 most intense, 2θ from 15° to 90°, in order of falling intensity)
Position (°2θ)	I (rel.)
38.2	100
31.0	78
30.8	62
29.4	56
39.7	53
20.5	46
48.9	38
58.9	36
24.5	34
32.1	28


Starting from a DFT-relaxed cell (GGA-PBE, Alexandria), the powder diffractogram of SrTbMgHg was calculated for Cu Kα X-rays.
No peak broadening, texture or thermal motion is included.

Cell and atoms:
Lattice parameters (Å, degrees): 3.9198 3.9198 7.8618 90.00 90.00 90.00
Element x y z (fractional)
Sr  0.0000  0.0000  0.0000
Tb  0.0000  0.0000  0.4763
Mg  0.5000  0.5000  0.7092
Hg  0.5000  0.5000  0.2762

Peak list (10 most intense, 2θ from 15° to 90°, in order of falling intensity)
Position (°2θ)	I (rel.)
32.3	100
57.5	34
34.3	14
25.4	13
46.3	13
41.4	13
76.9	11
63.9	7
47.8	7
67.5	6


Starting from a DFT-relaxed cell (GGA-PBE, Alexandria), the powder diffractogram of SrMgTlHg2 was calculated for Cu Kα X-rays.
No peak broadening, texture or thermal motion is included.

Cell and atoms:
Lattice parameters (Å, degrees): 6.2820 7.0709 6.3583 90.00 90.00 90.00
Element x y z (fractional)
Sr  0.2500  0.0000  0.2369
Sr  0.7500  0.0000  0.7631
Mg  0.0000  0.5000  0.5000
Mg  0.5000  0.5000  0.5000
Tl  0.2500  0.5000  0.0792
Tl  0.7500  0.5000  0.9208
Hg  0.2500  0.2107  0.7175
Hg  0.2500  0.7893  0.7175
Hg  0.7500  0.2107  0.2825
Hg  0.7500  0.7893  0.2825

Peak list (10 most intense, 2θ from 15° to 90°, in order of falling intensity)
Position (°2θ)	I (rel.)
32.3	100
28.4	54
52.8	25
19.9	25
31.5	22
48.2	20
30.8	20
18.8	17
38.1	16
60.6	15


Starting from a DFT-relaxed cell (GGA-PBE, Alexandria), the powder diffractogram of Sr3Mg2Zn2Hg4 was calculated for Cu Kα X-rays.
No peak broadening, texture or thermal motion is included.

Cell and atoms:
Lattice parameters (Å, degrees): 4.8136 4.8136 15.6390 90.00 90.00 120.00
Element x y z (fractional)
Sr  0.0000  0.0000  0.0000
Sr  0.0000  0.0000  0.2624
Sr  0.0000  0.0000  0.7376
Mg  0.3333  0.6667  0.5643
Mg  0.6667  0.3333  0.4357
Zn  0.3333  0.6667  0.1343
Zn  0.6667  0.3333  0.8657
Hg  0.3333  0.6667  0.3809
Hg  0.3333  0.6667  0.8696
Hg  0.6667  0.3333  0.1304
Hg  0.6667  0.3333  0.6191

Peak list (10 most intense, 2θ from 15° to 90°, in order of falling intensity)
Position (°2θ)	I (rel.)
24.2	100
31.4	94
37.4	90
44.2	33
40.8	32
61.1	31
22.7	30
49.6	26
63.7	25
45.0	20


Starting from a DFT-relaxed cell (GGA-PBE, Alexandria), the powder diffractogram of SrMgZn2Hg was calculated for Cu Kα X-rays.
No peak broadening, texture or thermal motion is included.

Cell and atoms:
Lattice parameters (Å, degrees): 4.3768 4.4351 12.3306 90.00 90.00 90.00
Element x y z (fractional)
Sr  0.0000  0.0000  0.0000
Sr  0.5000  0.5000  0.5000
Mg  0.0000  0.5000  0.7570
Mg  0.5000  0.0000  0.2570
Zn  0.0000  0.0000  0.3914
Zn  0.0000  0.5000  0.2718
Zn  0.5000  0.0000  0.7718
Zn  0.5000  0.5000  0.8914
Hg  0.0000  0.0000  0.6145
Hg  0.5000  0.5000  0.1145

Peak list (10 most intense, 2θ from 15° to 90°, in order of falling intensity)
Position (°2θ)	I (rel.)
32.2	100
41.2	83
29.8	73
28.7	64
21.3	54
41.9	48
29.6	40
40.7	38
51.2	35
42.1	33


Starting from a DFT-relaxed cell (GGA-PBE, Alexandria), the powder diffractogram of TbMg2Hg2 was calculated for Cu Kα X-rays.
No peak broadening, texture or thermal motion is included.

Cell and atoms:
Lattice parameters (Å, degrees): 4.9929 3.6309 13.0734 90.00 90.03 90.00
Element x y z (fractional)
Tb  0.2493  0.2500  0.2548
Tb  0.7507  0.7500  0.7452
Mg  0.2499  0.7500  0.4768
Mg  0.2509  0.2500  0.8636
Mg  0.7491  0.7500  0.1364
Mg  0.7501  0.2500  0.5232
Hg  0.2493  0.7500  0.0476
Hg  0.2506  0.2500  0.6514
Hg  0.7494  0.7500  0.3486
Hg  0.7507  0.2500  0.9524

Peak list (10 most intense, 2θ from 15° to 90°, in order of falling intensity)
Position (°2θ)	I (rel.)
33.5	100
38.9	68
22.4	52
32.1	50
31.2	50
36.0	44
65.3	42
20.4	39
49.0	31
87.9	22


Starting from a DFT-relaxed cell (GGA-PBE, Alexandria), the powder diffractogram of Tb3MgHg2 was calculated for Cu Kα X-rays.
No peak broadening, texture or thermal motion is included.

Cell and atoms:
Lattice parameters (Å, degrees): 5.2350 16.0491 3.7614 90.00 90.00 90.00
Element x y z (fractional)
Tb  0.0000  0.0000  0.0000
Tb  0.0000  0.3294  0.0000
Tb  0.0000  0.6706  0.0000
Tb  0.5000  0.1706  0.0000
Tb  0.5000  0.5000  0.0000
Tb  0.5000  0.8294  0.0000
Mg  0.0000  0.5000  0.5000
Mg  0.5000  0.0000  0.5000
Hg  0.0000  0.1548  0.5000
Hg  0.0000  0.8452  0.5000
Hg  0.5000  0.3452  0.5000
Hg  0.5000  0.6548  0.5000

Peak list (10 most intense, 2θ from 15° to 90°, in order of falling intensity)
Position (°2θ)	I (rel.)
33.8	100
60.1	25
34.3	25
33.5	24
61.0	18
48.7	17
17.8	12
71.1	11
60.6	10
48.4	9


Starting from a DFT-relaxed cell (GGA-PBE, Alexandria), the powder diffractogram of MgTc2Hg was calculated for Cu Kα X-rays.
No peak broadening, texture or thermal motion is included.

Cell and atoms:
Lattice parameters (Å, degrees): 3.0609 4.7773 9.4766 90.00 90.00 90.00
Element x y z (fractional)
Mg  0.0000  0.0000  0.0000
Mg  0.5000  0.5000  0.0000
Tc  0.0000  0.0000  0.5430
Tc  0.0000  0.5000  0.7574
Tc  0.5000  0.0000  0.7574
Tc  0.5000  0.5000  0.5430
Hg  0.0000  0.5000  0.2724
Hg  0.5000  0.0000  0.2724

Peak list (10 most intense, 2θ from 15° to 90°, in order of falling intensity)
Position (°2θ)	I (rel.)
39.8	100
37.7	30
18.7	30
38.0	26
69.4	21
54.6	18
69.8	15
36.1	13
85.8	13
34.8	12


Starting from a DFT-relaxed cell (GGA-PBE, Alexandria), the powder diffractogram of MgHg4Te5 was calculated for Cu Kα X-rays.
No peak broadening, texture or thermal motion is included.

Cell and atoms:
Lattice parameters (Å, degrees): 16.8221 16.8221 16.8221 163.99 163.99 22.72
Element x y z (fractional)
Mg  0.0000  0.0000  0.0000
Hg  0.1994  0.1994  0.0000
Hg  0.4016  0.4016  0.0000
Hg  0.5984  0.5984  0.0000
Hg  0.8006  0.8006  0.0000
Te  0.1489  0.6489  0.5000
Te  0.3511  0.8511  0.5000
Te  0.5475  0.0475  0.5000
Te  0.7500  0.2500  0.5000
Te  0.9525  0.4525  0.5000

Peak list (10 most intense, 2θ from 15° to 90°, in order of falling intensity)
Position (°2θ)	I (rel.)
23.3	100
38.5	81
45.4	35
69.5	19
45.6	17
61.1	14
55.5	9
69.7	9
74.4	8
61.0	7


Starting from a DFT-relaxed cell (GGA-PBE, Alexandria), the powder diffractogram of Th2Mg2Hg3 was calculated for Cu Kα X-rays.
No peak broadening, texture or thermal motion is included.

Cell and atoms:
Lattice parameters (Å, degrees): 3.4665 30.3259 3.4285 90.00 90.00 90.00
Element x y z (fractional)
Th  0.0000  0.0753  0.0000
Th  0.0000  0.9247  0.0000
Th  0.5000  0.4247  0.0000
Th  0.5000  0.5753  0.0000
Mg  0.0000  0.2071  0.0000
Mg  0.0000  0.7929  0.0000
Mg  0.5000  0.2929  0.0000
Mg  0.5000  0.7071  0.0000
Hg  0.0000  0.3487  0.5000
Hg  0.0000  0.5000  0.5000
Hg  0.0000  0.6513  0.5000
Hg  0.5000  0.0000  0.5000
Hg  0.5000  0.1513  0.5000
Hg  0.5000  0.8487  0.5000

Peak list (10 most intense, 2θ from 15° to 90°, in order of falling intensity)
Position (°2θ)	I (rel.)
33.1	100
37.0	94
31.5	92
54.4	46
64.3	40
35.3	35
29.7	27
62.8	27
41.7	22
35.5	17


Starting from a DFT-relaxed cell (GGA-PBE, Alexandria), the powder diffractogram of Th2Mg3Hg4 was calculated for Cu Kα X-rays.
No peak broadening, texture or thermal motion is included.

Cell and atoms:
Lattice parameters (Å, degrees): 4.8675 4.8675 11.0091 90.00 90.00 120.00
Element x y z (fractional)
Th  0.3333  0.6667  0.2185
Th  0.6667  0.3333  0.7815
Mg  0.0000  0.0000  0.0000
Mg  0.3333  0.6667  0.5629
Mg  0.6667  0.3333  0.4371
Hg  0.0000  0.0000  0.3612
Hg  0.0000  0.0000  0.6388
Hg  0.3333  0.6667  0.9137
Hg  0.6667  0.3333  0.0863

Peak list (10 most intense, 2θ from 15° to 90°, in order of falling intensity)
Position (°2θ)	I (rel.)
32.3	100
36.9	80
22.6	66
39.1	33
49.9	30
63.7	29
71.4	16
66.5	15
54.5	14
68.0	14


Starting from a DFT-relaxed cell (GGA-PBE, Alexandria), the powder diffractogram of Tm2ThMgHg4 was calculated for Cu Kα X-rays.
No peak broadening, texture or thermal motion is included.

Cell and atoms:
Lattice parameters (Å, degrees): 9.5431 9.5431 9.5431 30.68 30.68 30.68
Element x y z (fractional)
Tm  0.2425  0.2425  0.2425
Tm  0.7575  0.7575  0.7575
Th  0.0000  0.0000  0.0000
Mg  0.5000  0.5000  0.5000
Hg  0.1285  0.1285  0.1285
Hg  0.3832  0.3832  0.3832
Hg  0.6168  0.6168  0.6168
Hg  0.8715  0.8715  0.8715

Peak list (10 most intense, 2θ from 15° to 90°, in order of falling intensity)
Position (°2θ)	I (rel.)
33.3	100
35.6	93
62.4	34
49.5	33
63.9	17
58.1	16
84.9	15
26.1	14
81.1	12
75.3	11


Starting from a DFT-relaxed cell (GGA-PBE, Alexandria), the powder diffractogram of ThMg2ZnHg2 was calculated for Cu Kα X-rays.
No peak broadening, texture or thermal motion is included.

Cell and atoms:
Lattice parameters (Å, degrees): 4.2529 4.2529 17.4960 90.00 90.00 90.00
Element x y z (fractional)
Th  0.0000  0.0000  0.0000
Th  0.5000  0.5000  0.5000
Mg  0.0000  0.5000  0.2500
Mg  0.0000  0.5000  0.7500
Mg  0.5000  0.0000  0.2500
Mg  0.5000  0.0000  0.7500
Zn  0.0000  0.0000  0.5000
Zn  0.5000  0.5000  0.0000
Hg  0.0000  0.0000  0.3569
Hg  0.0000  0.0000  0.6431
Hg  0.5000  0.5000  0.1431
Hg  0.5000  0.5000  0.8569

Peak list (10 most intense, 2θ from 15° to 90°, in order of falling intensity)
Position (°2θ)	I (rel.)
25.9	100
29.7	56
43.2	36
50.5	34
42.5	29
78.3	22
51.7	18
31.5	15
30.7	15
53.3	13


Starting from a DFT-relaxed cell (GGA-PBE, Alexandria), the powder diffractogram of MgTl2Hg5 was calculated for Cu Kα X-rays.
No peak broadening, texture or thermal motion is included.

Cell and atoms:
Lattice parameters (Å, degrees): 5.0187 5.0187 16.7426 90.00 90.00 90.00
Element x y z (fractional)
Mg  0.0000  0.0000  0.0000
Mg  0.5000  0.5000  0.5000
Tl  0.0000  0.0000  0.2465
Tl  0.0000  0.0000  0.7535
Tl  0.5000  0.5000  0.2535
Tl  0.5000  0.5000  0.7465
Hg  0.0000  0.0000  0.5000
Hg  0.0000  0.5000  0.1143
Hg  0.0000  0.5000  0.3857
Hg  0.0000  0.5000  0.6143
Hg  0.0000  0.5000  0.8857
Hg  0.5000  0.0000  0.1143
Hg  0.5000  0.0000  0.3857
Hg  0.5000  0.0000  0.6143
Hg  0.5000  0.0000  0.8857
Hg  0.5000  0.5000  0.0000

Peak list (10 most intense, 2θ from 15° to 90°, in order of falling intensity)
Position (°2θ)	I (rel.)
33.1	100
35.8	43
62.6	33
57.3	19
51.5	15
69.4	11
43.2	11
72.8	7
86.8	7
85.3	7


Starting from a DFT-relaxed cell (GGA-PBE, Alexandria), the powder diffractogram of Mg7TlHg4 was calculated for Cu Kα X-rays.
No peak broadening, texture or thermal motion is included.

Cell and atoms:
Lattice parameters (Å, degrees): 7.2031 7.2031 10.2651 123.94 123.94 42.88
Element x y z (fractional)
Mg  0.0000  0.0000  0.0000
Mg  0.1539  0.1539  0.5841
Mg  0.2841  0.2841  0.1252
Mg  0.4316  0.4316  0.6594
Mg  0.5684  0.5684  0.3406
Mg  0.7159  0.7159  0.8748
Mg  0.8461  0.8461  0.4159
Tl  0.5000  0.5000  0.0000
Hg  0.0735  0.0735  0.7804
Hg  0.2120  0.2120  0.3395
Hg  0.7880  0.7880  0.6605
Hg  0.9265  0.9265  0.2196

Peak list (10 most intense, 2θ from 15° to 90°, in order of falling intensity)
Position (°2θ)	I (rel.)
24.7	100
26.5	44
34.1	37
29.5	27
36.3	27
37.1	25
50.6	21
38.5	20
45.7	17
18.8	14